Record 1
This entry pairs a crystal structure of CaZn6Cu2 with its theoretical powder X-ray diffraction pattern. Radiation: Cu Ka. Structure: a DFT-relaxed cell (GGA-PBE, Alexandria).

Atomic structure:
```
18
Lattice="0.000 5.750 5.750 5.750 0.000 5.750 5.750 5.750 0.000" Properties=species:S:1:pos:R:3 pbc="T T T"
Ca 1.438 1.438 1.438
Ca 10.063 10.063 10.063
Zn 4.313 4.313 1.630
Zn 4.313 1.630 4.313
Zn 6.996 4.313 4.313
Zn 7.188 7.188 4.505
Zn 7.188 4.505 7.188
Zn 9.871 7.188 7.188
Zn 1.630 4.313 4.313
Zn 4.313 6.996 4.313
Zn 4.313 4.313 6.996
Zn 4.505 7.188 7.188
Zn 7.188 9.871 7.188
Zn 7.188 7.188 9.871
Cu 5.750 2.875 2.875
Cu 2.875 5.750 2.875
Cu 2.875 2.875 5.750
Cu 5.750 5.750 5.750
```

Most intense lines, 2θ from 5° to 70°, sorted by position:
2θ 13.33, I 193
2θ 21.86, I 170
2θ 25.69, I 321
2θ 26.85, I 152
2θ 31.11, I 415
2θ 38.34, I 105
2θ 40.77, I 100
2θ 44.57, I 1000
2θ 61.98, I 144
2θ 64.86, I 140



Record 2
This entry pairs a crystal structure of CaZn9Cu2 with its theoretical powder X-ray diffraction pattern. Radiation: Cu Ka. Structure: a DFT-relaxed cell (GGA-PBE, Alexandria).

Atomic structure:
```
24
Lattice="-5.278 5.278 3.392 5.278 -5.278 3.392 5.278 5.278 -3.392" Properties=species:S:1:pos:R:3 pbc="T T T"
Ca 5.278 2.639 0.848
Ca 0.000 2.639 2.544
Zn 5.278 -2.639 2.544
Zn 3.995 -0.475 1.244
Zn 6.561 -0.475 1.244
Zn 2.164 1.356 0.452
Zn 8.392 1.356 0.452
Zn 3.995 4.803 -1.244
Zn 1.283 -0.475 2.148
Zn 2.164 3.922 0.452
Zn 3.114 -1.356 3.844
Zn 2.164 6.634 -0.452
Zn 3.114 1.356 2.941
Zn 3.995 5.753 1.244
Zn 1.283 0.475 4.637
Zn -3.114 3.922 2.941
Zn 3.114 3.922 2.941
Zn -1.283 5.753 2.148
Zn 1.283 5.753 2.148
Zn 0.000 7.917 0.848
Cu 0.000 0.000 0.000
Cu 2.639 2.639 -1.696
Cu 2.639 -2.639 1.696
Cu 0.000 5.278 0.000
```

Most intense lines, 2θ from 5° to 70°, sorted by position:
2θ 15.53, I 229
2θ 16.80, I 205
2θ 37.81, I 600
2θ 38.12, I 528
2θ 40.81, I 244
2θ 43.45, I 208
2θ 44.42, I 341
2θ 44.97, I 1000
2θ 46.89, I 389
2θ 68.69, I 189



Record 3
This entry pairs a crystal structure of CaZn4Cu4 with its theoretical powder X-ray diffraction pattern. Radiation: Cu Ka. Structure: a DFT-relaxed cell (GGA-PBE, Alexandria).

Atomic structure:
```
9
Lattice="-4.151 4.151 2.191 4.151 -4.151 2.191 4.151 4.151 -2.191" Properties=species:S:1:pos:R:3 pbc="T T T"
Ca 0.000 0.000 0.000
Zn 2.815 1.898 0.000
Zn 2.253 -1.337 2.191
Zn 1.898 5.488 0.000
Zn 1.337 2.253 2.191
Cu 5.068 0.755 0.000
Cu 0.755 3.234 0.000
Cu 3.396 0.917 2.191
Cu -0.917 3.396 2.191
```

Most intense lines, 2θ from 5° to 70°, sorted by position:
2θ 15.09, I 714
2θ 30.45, I 187
2θ 31.58, I 143
2θ 34.15, I 398
2θ 38.47, I 181
2θ 41.21, I 437
2θ 44.45, I 1000
2θ 49.84, I 413
2θ 54.56, I 195
2θ 56.52, I 129



Record 4
This entry pairs a crystal structure of CaZn3Cu8 with its theoretical powder X-ray diffraction pattern. Radiation: Cu Ka. Structure: a DFT-relaxed cell (GGA-PBE, Alexandria).

Atomic structure:
```
12
Lattice="4.968 0.000 0.000 -2.484 4.302 0.000 0.000 0.000 8.066" Properties=species:S:1:pos:R:3 pbc="T T T"
Ca 0.000 0.000 0.000
Zn 0.000 0.000 3.214
Zn 2.484 1.434 3.942
Zn 2.484 1.434 6.651
Cu 0.000 1.420 5.474
Cu -1.254 3.592 5.474
Cu 0.000 2.868 3.515
Cu 0.000 2.868 7.557
Cu 2.484 0.029 1.600
Cu 1.267 2.137 1.600
Cu 1.254 3.592 5.474
Cu 3.701 2.137 1.600
```

Most intense lines, 2θ from 5° to 70°, sorted by position:
2θ 10.97, I 135
2θ 36.16, I 280
2θ 39.52, I 637
2θ 42.76, I 1000
2θ 43.55, I 1000
2θ 44.95, I 213
2θ 47.93, I 261
2θ 49.96, I 246
2θ 67.29, I 221
2θ 69.58, I 211



Record 5
This entry pairs a crystal structure of CaZn11Cu with its theoretical powder X-ray diffraction pattern. Radiation: Cu Ka. Structure: a DFT-relaxed cell (GGA-PBE, Alexandria).

Atomic structure:
```
13
Lattice="2.589 -6.314 0.000 2.589 6.314 0.000 -2.578 0.000 6.317" Properties=species:S:1:pos:R:3 pbc="T T T"
Ca 0.000 0.000 0.000
Zn -1.289 0.000 3.159
Zn 1.294 3.157 0.000
Zn 0.050 2.207 2.252
Zn 0.034 1.379 4.913
Zn 0.050 -2.207 2.252
Zn 2.565 1.379 1.405
Zn 1.294 -3.157 0.000
Zn 0.034 -1.379 4.913
Zn 2.550 2.207 4.065
Zn 2.565 -1.379 1.405
Zn 2.550 -2.207 4.065
Cu 1.300 0.000 3.159
```

Most intense lines, 2θ from 5° to 70°, sorted by position:
2θ 14.02, I 111
2θ 19.86, I 230
2θ 34.70, I 254
2θ 34.78, I 139
2θ 40.28, I 742
2θ 40.39, I 1000
2θ 45.30, I 701
2θ 45.40, I 736
2θ 65.95, I 111
2θ 69.65, I 86



Record 6
This entry pairs a crystal structure of CaZn2Cu2 with its theoretical powder X-ray diffraction pattern. Radiation: Cu Ka. Structure: a DFT-relaxed cell (GGA-PBE, Alexandria).

Atomic structure:
```
5
Lattice="-2.197 2.197 4.701 2.197 -2.197 4.701 2.197 2.197 -4.701" Properties=species:S:1:pos:R:3 pbc="T T T"
Ca 0.000 0.000 0.000
Zn 0.000 0.000 3.452
Zn 0.000 0.000 5.950
Cu 2.197 0.000 2.350
Cu 0.000 2.197 2.350
```

Most intense lines, 2θ from 5° to 70°, sorted by position:
2θ 18.88, I 421
2θ 22.34, I 263
2θ 34.61, I 868
2θ 35.18, I 735
2θ 41.09, I 1000
2θ 45.58, I 173
2θ 48.57, I 652
2θ 55.18, I 375
2θ 59.51, I 312
2θ 66.87, I 198



Record 7
This entry pairs a crystal structure of Ca3Zn3Cu2 with its theoretical powder X-ray diffraction pattern. Radiation: Cu Ka. Structure: a DFT-relaxed cell (GGA-PBE, Alexandria).

Atomic structure:
```
16
Lattice="2.207 -5.234 0.000 2.207 5.234 0.000 0.000 0.000 15.013" Properties=species:S:1:pos:R:3 pbc="T T T"
Ca 2.207 4.310 9.104
Ca 2.207 4.310 13.415
Ca 2.207 1.264 11.260
Ca 2.207 -1.264 3.753
Ca 2.207 -4.310 1.598
Ca 2.207 -4.310 5.909
Zn 2.207 1.866 3.753
Zn 2.207 1.297 8.074
Zn 2.207 1.297 14.445
Zn 2.207 -1.297 0.568
Zn 2.207 -1.297 6.939
Zn 2.207 -1.866 11.260
Cu 2.207 3.059 1.476
Cu 2.207 3.059 6.030
Cu 2.207 -3.059 8.983
Cu 2.207 -3.059 13.537
```

Most intense lines, 2θ from 5° to 70°, sorted by position:
2θ 11.79, I 269
2θ 16.94, I 296
2θ 32.46, I 764
2θ 33.27, I 508
2θ 35.89, I 221
2θ 37.45, I 401
2θ 38.83, I 312
2θ 40.85, I 1000
2θ 47.95, I 254
2θ 57.66, I 200



Record 8
This entry pairs a crystal structure of Ca2Zn5Cu5 with its theoretical powder X-ray diffraction pattern. Radiation: Cu Ka. Structure: a DFT-relaxed cell (GGA-PBE, Alexandria).

Atomic structure:
```
12
Lattice="4.116 0.000 0.000 0.000 5.257 0.000 0.000 0.000 9.154" Properties=species:S:1:pos:R:3 pbc="T T T"
Ca 0.000 0.000 0.000
Ca 0.000 2.628 4.577
Zn 0.000 0.000 2.974
Zn 0.000 0.000 6.180
Zn 0.000 2.628 1.530
Zn 0.000 2.628 7.625
Zn 2.058 0.000 4.577
Cu 2.058 1.327 2.280
Cu 2.058 1.327 6.875
Cu 2.058 2.628 0.000
Cu 2.058 3.930 2.280
Cu 2.058 3.930 6.875
```

Most intense lines, 2θ from 5° to 70°, sorted by position:
2θ 19.44, I 736
2θ 33.97, I 168
2θ 39.37, I 159
2θ 39.54, I 248
2θ 40.61, I 1000
2θ 40.73, I 490
2θ 43.99, I 472
2θ 45.34, I 281
2θ 45.49, I 666
2θ 65.48, I 222



Record 9
This entry pairs a crystal structure of Ca4Zn3Cu2 with its theoretical powder X-ray diffraction pattern. Radiation: Cu Ka. Structure: a DFT-relaxed cell (GGA-PBE, Alexandria).

Atomic structure:
```
9
Lattice="7.842 -2.037 0.000 7.842 2.037 0.000 -2.258 0.000 6.736" Properties=species:S:1:pos:R:3 pbc="T T T"
Ca 0.342 0.000 2.497
Ca 2.376 0.000 5.435
Ca 11.050 0.000 1.301
Ca 13.084 0.000 4.239
Zn 5.727 0.000 1.764
Zn 7.842 0.000 0.000
Zn 7.699 0.000 4.972
Cu -0.676 0.000 6.426
Cu 14.103 0.000 0.310
```

Most intense lines, 2θ from 5° to 70°, sorted by position:
2θ 11.90, I 877
2θ 13.14, I 1000
2θ 20.41, I 327
2θ 33.78, I 875
2θ 34.87, I 555
2θ 36.29, I 609
2θ 36.57, I 529
2θ 40.13, I 889
2θ 44.48, I 474
2θ 44.59, I 356



Record 10
This entry pairs a crystal structure of CaZn4Cu9 with its theoretical powder X-ray diffraction pattern. Radiation: Cu Ka. Structure: a DFT-relaxed cell (GGA-PBE, Alexandria).

Atomic structure:
```
28
Lattice="-4.157 4.157 5.897 4.157 -4.157 5.897 4.157 4.157 -5.897" Properties=species:S:1:pos:R:3 pbc="T T T"
Ca 0.000 0.000 2.948
Ca 0.000 0.000 8.845
Zn 5.668 1.512 -1.436
Zn 1.512 2.645 -1.436
Zn 5.668 1.512 1.436
Zn 1.512 2.645 1.436
Zn 2.645 1.512 4.461
Zn -1.512 2.645 4.461
Zn 2.645 1.512 7.333
Zn -1.512 2.645 7.333
Cu 4.157 0.000 0.000
Cu 1.687 0.519 0.000
Cu 5.108 -0.952 2.096
Cu 3.638 -2.470 5.897
Cu 3.205 -0.952 3.801
Cu 3.205 0.952 2.096
Cu 3.638 2.470 0.000
Cu 5.108 0.952 3.801
Cu 1.687 -0.519 5.897
Cu 0.000 4.157 0.000
Cu 2.470 4.676 0.000
Cu -0.952 3.205 2.096
Cu 0.519 1.687 5.897
Cu 0.952 3.205 3.801
Cu 0.952 5.108 2.096
Cu 0.519 6.626 0.000
Cu -0.952 5.108 3.801
Cu 2.470 3.638 5.897
```

Most intense lines, 2θ from 5° to 70°, sorted by position:
2θ 15.06, I 518
2θ 21.35, I 62
2θ 34.07, I 206
2θ 37.43, I 664
2θ 43.49, I 84
2θ 45.58, I 1000
2θ 45.65, I 530
2θ 46.24, I 332
2θ 46.33, I 276
2θ 53.98, I 74



Record 11
This entry pairs a crystal structure of CaZn2Cu6 with its theoretical powder X-ray diffraction pattern. Radiation: Cu Ka. Structure: a DFT-relaxed cell (GGA-PBE, Alexandria).

Atomic structure:
```
18
Lattice="0.000 5.485 5.485 5.485 0.000 5.485 5.485 5.485 0.000" Properties=species:S:1:pos:R:3 pbc="T T T"
Ca 1.371 1.371 1.371
Ca 9.599 9.599 9.599
Zn 5.485 2.743 2.743
Zn 2.743 5.485 2.743
Zn 2.743 2.743 5.485
Zn 5.485 5.485 5.485
Cu 4.114 4.114 1.384
Cu 4.114 1.384 4.114
Cu 6.844 4.114 4.114
Cu 6.857 6.857 4.127
Cu 6.857 4.127 6.857
Cu 9.586 6.857 6.857
Cu 1.384 4.114 4.114
Cu 4.114 6.844 4.114
Cu 4.114 4.114 6.844
Cu 4.127 6.857 6.857
Cu 6.857 9.586 6.857
Cu 6.857 6.857 9.586
```

Most intense lines, 2θ from 5° to 70°, sorted by position:
2θ 13.98, I 71
2θ 22.93, I 176
2θ 26.96, I 274
2θ 28.18, I 158
2θ 32.65, I 393
2θ 40.27, I 82
2θ 42.83, I 95
2θ 46.85, I 1000
2θ 58.27, I 89
2θ 68.41, I 147



Record 12
This entry pairs a crystal structure of CaZnCu3 with its theoretical powder X-ray diffraction pattern. Radiation: Cu Ka. Structure: a DFT-relaxed cell (GGA-PBE, Alexandria).

Atomic structure:
```
10
Lattice="-2.444 4.366 4.261 2.444 -4.366 4.261 2.444 4.366 -4.261" Properties=species:S:1:pos:R:3 pbc="T T T"
Ca 0.000 2.183 0.426
Ca 2.444 2.183 3.835
Zn 2.444 0.000 0.000
Zn 0.000 0.000 4.261
Cu 2.444 2.183 -1.475
Cu 1.222 4.233 -2.130
Cu 1.222 -0.133 2.130
Cu -1.222 4.498 2.130
Cu 1.222 4.498 2.130
Cu 0.000 2.183 5.736
```

Most intense lines, 2θ from 5° to 70°, sorted by position:
2θ 14.52, I 844
2θ 20.34, I 473
2θ 29.35, I 702
2θ 29.63, I 566
2θ 41.36, I 804
2θ 42.22, I 850
2θ 42.40, I 777
2θ 42.64, I 634
2θ 47.49, I 526
2θ 47.68, I 1000